Structure and computed powder X-ray diffraction pattern of Li2Ca2Si5O13 (a cell relaxed with GGA-PBE; copper Kα).

Structure:
```
data_Li2Ca2Si5O13
_symmetry_space_group_name_H-M 'P -1'
_symmetry_Int_Tables_number 2
_cell_length_a 7.603
_cell_length_b 7.861
_cell_length_c 10.311
_cell_angle_alpha 83.34
_cell_angle_beta 68.79
_cell_angle_gamma 75.66
loop_
_symmetry_equiv_pos_as_xyz
'x,y,z'
'-x,-y,-z'
loop_
_atom_site_label
_atom_site_fract_x
_atom_site_fract_y
_atom_site_fract_z
_atom_site_occupancy
Li1 0.160 0.408 0.249 1
Li2 0.180 0.077 0.366 1
Ca1 0.024 0.168 0.105 1
Ca2 0.449 0.850 0.892 1
Si1 0.147 0.227 0.764 1
Si2 0.218 0.692 0.538 1
Si3 0.263 0.768 0.234 1
Si4 0.316 0.448 0.908 1
Si5 0.365 0.300 0.461 1
O1 0.029 0.762 0.668 1
O2 0.075 0.691 0.241 1
O3 0.159 0.057 0.867 1
O4 0.198 0.392 0.816 1
O5 0.217 0.823 0.397 1
O6 0.223 0.497 0.493 1
O7 0.253 0.658 0.923 1
O8 0.278 0.328 0.052 1
O9 0.289 0.178 0.603 1
O10 0.294 0.943 0.138 1
O11 0.350 0.225 0.328 1
O12 0.414 0.690 0.566 1
O13 0.448 0.603 0.188 1
```

Principal peaks in the range 2θ = 10–90°, sorted by position:
- 3.807 Å, 2θ 23.37, rel. 87, hkl 0 2 0
- 3.694 Å, 2θ 24.09, rel. 41, hkl 2 1 1
- 3.451 Å, 2θ 25.82, rel. 54, hkl 2 0 0
- 3.203 Å, 2θ 27.86, rel. 35, hkl 0 0 3
- 3.052 Å, 2θ 29.26, rel. 80, hkl 2 2 1
- 3.032 Å, 2θ 29.46, rel. 100, hkl 2 -1 1
- 2.984 Å, 2θ 29.95, rel. 42, hkl 0 1 3
- 2.942 Å, 2θ 30.38, rel. 36, hkl 0 2 -2
- 2.922 Å, 2θ 30.59, rel. 72, hkl 0 1 -3
- 1.901 Å, 2θ 47.86, rel. 39, hkl 4 1 2

=====

Structure and computed powder X-ray diffraction pattern of Li2Ca2TaO6 (a cell relaxed with GGA-PBE; copper Kα).

Structure:
```
data_Li2Ca2TaO6
_symmetry_space_group_name_H-M 'P -3 1 m'
_symmetry_Int_Tables_number 162
_symmetry_space_group_name_Hall '-P 3 2'
_cell_length_a 5.2841
_cell_length_b 5.2841
_cell_length_c 5.3305
_cell_angle_alpha 90.00
_cell_angle_beta 90.00
_cell_angle_gamma 120.00
loop_
_atom_site_label
_atom_site_fract_x
_atom_site_fract_y
_atom_site_fract_z
_atom_site_occupancy
Li1 0.3333 0.6667 0.0000 1
Ca1 0.3333 0.6667 0.5000 1
Ta1 0.0000 0.0000 0.0000 1
O1 0.0000 0.3157 0.7850 1
```

Principal peaks in the range 2θ = 10–90°, sorted by position:
- 5.330 Å, 2θ 16.63, rel. 15, hkl 0 0 1
- 4.576 Å, 2θ 19.40, rel. 38, hkl 1 0 0
- 3.472 Å, 2θ 25.66, rel. 100, hkl 1 0 1
- 2.642 Å, 2θ 33.93, rel. 26, hkl 1 1 0
- 2.367 Å, 2θ 38.01, rel. 12, hkl 1 1 1
- 2.103 Å, 2θ 43.02, rel. 24, hkl 2 0 1
- 1.876 Å, 2θ 48.52, rel. 36, hkl 1 1 2
- 1.656 Å, 2θ 55.48, rel. 11, hkl 1 0 3
- 1.645 Å, 2θ 55.89, rel. 23, hkl 2 1 1
- 1.525 Å, 2θ 60.72, rel. 11, hkl 3 0 0